Theoretical X-ray diffraction stick pattern of SnH10C3NCl3 for Cu Ka, from a DFT-relaxed cell (GGA-PBE, the Materials Project).
No peak broadening, texture or thermal motion is included.

Crystal structure
a b c (Å): 6.5420 6.5420 12.8388
angles (deg): 90.00 90.00 80.61
Positions (direct):
Sn: 0.0442 0.9558 0.5000
Sn: 0.9558 0.0442 0.0000
H: 0.1929 0.5710 0.8323
H: 0.2095 0.3672 0.7381
H: 0.3143 0.6857 0.2169
H: 0.3196 0.5005 0.1128
H: 0.3442 0.6558 0.6688
H: 0.3514 0.3963 0.3417
H: 0.3672 0.2095 0.2381
H: 0.3963 0.3514 0.8417
H: 0.4290 0.8071 0.8323
H: 0.4995 0.6804 0.1128
H: 0.5005 0.3196 0.6128
H: 0.5710 0.1929 0.3323
H: 0.6037 0.6486 0.3417
H: 0.6328 0.7905 0.7381
H: 0.6486 0.6037 0.8417
H: 0.6558 0.3442 0.1688
H: 0.6804 0.4995 0.6128
H: 0.6857 0.3143 0.7169
H: 0.7905 0.6328 0.2381
H: 0.8071 0.4290 0.3323
C: 0.2984 0.4556 0.7882
C: 0.4132 0.5868 0.1618
C: 0.4556 0.2984 0.2882
C: 0.5444 0.7016 0.7882
C: 0.5868 0.4132 0.6618
C: 0.7016 0.5444 0.2882
N: 0.4362 0.5638 0.7225
N: 0.5638 0.4362 0.2225
Cl: 0.0250 0.9750 0.6965
Cl: 0.0721 0.5644 0.5036
Cl: 0.4356 0.9279 0.5036
Cl: 0.5644 0.0721 0.0036
Cl: 0.9279 0.4356 0.0036
Cl: 0.9750 0.0250 0.1965

Principal peaks in the range 5° ≤ 2θ ≤ 70°, most intense first:
d (Å), I/Imax
6.440, 100.0
4.552, 80.8
3.227, 46.0
5.767, 37.2
4.989, 33.0
3.210, 27.3